Structure and simulated powder diffraction line list of SrSnHgS4 (a DFT-relaxed cell (PBE, OQMD); Cu Kα, 1.54184 Å).
Peak positions follow from Bragg's law for the DFT cell and can differ from measured ones.

```
SrSnHgS4
1.0
10.5745 0.0000 0.0000
0.0000 5.3097 3.3278
0.0000 -5.3097 3.3278
Sr Sn Hg S
2 2 2 8
direct
0.0000 0.0000 0.0000
0.5000 0.0000 0.0000
0.2500 0.7245 0.2977
0.7500 0.2977 0.7245
0.2500 0.3732 0.7167
0.7500 0.7167 0.3732
0.0723 0.5167 0.0467
0.2500 0.1122 0.2850
0.2500 0.8186 0.7089
0.4277 0.5167 0.0467
0.5723 0.0467 0.5167
0.7500 0.2850 0.1122
0.7500 0.7089 0.8186
0.9277 0.0467 0.5167
```

Main lines, sorted by position (10 to 90 degrees two-theta):
Position (°2θ), I_rel
16.7, 100
23.1, 82
23.7, 48
28.6, 81
33.9, 42
36.1, 94
44.9, 48
48.2, 34

***

Structure and simulated powder diffraction line list of TmTlHgS3 (a DFT-relaxed cell (PBE, OQMD); Cu Kα, 1.54184 Å).
Peak positions follow from Bragg's law for the DFT cell and can differ from measured ones.

```
TmTlHgS3
1.0
10.6262 0.0000 0.0000
0.0000 4.0548 0.0000
0.0000 0.0000 15.2513
Tm Tl Hg S
4 4 4 12
direct
0.0110 0.2500 0.2503
0.4890 0.7500 0.7503
0.5110 0.2500 0.2497
0.9890 0.7500 0.7497
0.2390 0.2500 0.5605
0.2610 0.7500 0.0605
0.7390 0.2500 0.9395
0.7610 0.7500 0.4395
0.2386 0.2500 0.8550
0.2614 0.7500 0.3550
0.7386 0.2500 0.6450
0.7614 0.7500 0.1450
0.0148 0.2500 0.8695
0.0376 0.7500 0.3709
0.2390 0.7500 0.7070
0.2610 0.2500 0.2070
0.4624 0.2500 0.8709
0.4852 0.7500 0.3695
0.5148 0.2500 0.6305
0.5376 0.7500 0.1291
0.7390 0.7500 0.7930
0.7610 0.2500 0.2930
0.9624 0.2500 0.6291
0.9852 0.7500 0.1305
```

Main lines, sorted by position (10 to 90 degrees two-theta):
Position (°2θ), I_rel
16.7, 26
20.4, 49
24.8, 39
28.2, 100
28.3, 80
29.4, 65
33.7, 50
44.5, 51

***

Structure and simulated powder diffraction line list of YTlHgS3 (a DFT-relaxed cell (PBE, OQMD); Cu Kα, 1.54184 Å).
Peak positions follow from Bragg's law for the DFT cell and can differ from measured ones.

```
YTlHgS3
1.0
8.4992 -2.0275 0.0000
8.4992 2.0275 0.0000
-2.2124 0.0000 8.9542
Y Tl Hg S
2 2 2 6
direct
0.1707 0.1707 0.0881
0.8293 0.8293 0.9119
0.1407 0.1407 0.5654
0.8593 0.8593 0.4346
0.4934 0.4934 0.7812
0.5066 0.5066 0.2188
0.0000 0.0000 0.0000
0.3336 0.3336 0.7143
0.3346 0.3346 0.1208
0.5000 0.5000 0.5000
0.6654 0.6654 0.8792
0.6664 0.6664 0.2857
```

Main lines, sorted by position (10 to 90 degrees two-theta):
Position (°2θ), I_rel
10.7, 18
24.8, 31
25.6, 27
27.3, 60
29.3, 100
32.6, 30
43.9, 33
44.9, 18

***

Structure and simulated powder diffraction line list of HgSb4 (a DFT-relaxed cell (PBE, OQMD); Cu Kα, 1.54184 Å).
Peak positions follow from Bragg's law for the DFT cell and can differ from measured ones.

```
HgSb4
1.0
6.6965 0.0000 0.0000
0.0000 5.7656 0.0000
-3.3764 0.0000 8.6363
Hg Sb
2 8
direct
0.0000 0.0000 0.0000
0.0000 0.5000 0.5000
0.2066 0.1516 0.7227
0.2066 0.3484 0.2227
0.3955 0.6662 0.0645
0.3955 0.8338 0.5645
0.6045 0.1662 0.4355
0.6045 0.3338 0.9355
0.7934 0.6516 0.7773
0.7934 0.8484 0.2773
```

Main lines, sorted by position (10 to 90 degrees two-theta):
Position (°2θ), I_rel
25.6, 100
32.6, 17
33.0, 15
34.3, 15
37.4, 14
41.3, 17
43.1, 14
48.5, 14

***

Structure and simulated powder diffraction line list of Hg2SbW (a DFT-relaxed cell (PBE, OQMD); Cu Kα, 1.54184 Å).
Peak positions follow from Bragg's law for the DFT cell and can differ from measured ones.

```
Hg2SbW
1.0
0.0000 3.4805 3.4805
3.4805 0.0000 3.4805
3.4805 3.4805 0.0000
Hg Sb W
2 1 1
direct
0.0000 0.0000 0.0000
0.2500 0.2500 0.2500
0.5000 0.5000 0.5000
0.7500 0.7500 0.7500
```

Main lines, sorted by position (10 to 90 degrees two-theta):
Position (°2θ), I_rel
22.1, 3
25.6, 1
36.5, 100
43.1, 2
52.6, 18
65.7, 37
77.6, 12
88.9, 17

***

Structure and simulated powder diffraction line list of Zn2Hg2Sb (a DFT-relaxed cell (PBE, OQMD); Cu Kα, 1.54184 Å).
Peak positions follow from Bragg's law for the DFT cell and can differ from measured ones.

```
Zn2Hg2Sb
1.0
0.0000 8.9447 2.2019
6.7623 0.0000 2.2019
6.7623 8.9447 0.0000
Zn Hg Sb
4 4 2
direct
0.0323 0.9677 0.8481
0.0981 0.4019 0.2823
0.4019 0.0981 0.2177
0.9677 0.0323 0.1519
0.2405 0.7753 0.6454
0.6046 0.9112 0.0095
0.7753 0.2405 0.3388
0.9112 0.6046 0.4747
0.4825 0.4825 0.5175
0.7325 0.7325 0.7675
```

Main lines, sorted by position (10 to 90 degrees two-theta):
Position (°2θ), I_rel
21.8, 26
26.0, 100
28.2, 36
32.9, 79
39.4, 63
40.3, 35
42.3, 39
53.7, 27